(1)
Starting from the GGA+U geometry in Alexandria, the X-ray diffraction stick pattern of Mn2Si2Pb2O9 was computed for Cu Kα (weighted mean of Kα1 and Kα2).
Lines closer than 0.1° are merged.

Crystal structure
Unit cell a=6.3612 b=6.3612 c=11.2939 alpha=90.00 beta=90.00 gamma=108.54
Element x y z (fractional)
Mn1 0.0881 0.0881 0.0000
Mn2 0.1757 0.8243 0.7500
Mn3 0.8243 0.1757 0.2500
Mn4 0.9119 0.9119 0.5000
Si1 0.0995 0.3055 0.7744
Si2 0.3055 0.0995 0.2256
Si3 0.6945 0.9005 0.7256
Si4 0.9005 0.6945 0.2744
Pb1 0.2224 0.5682 0.4770
Pb2 0.4318 0.7776 0.0230
Pb3 0.5682 0.2224 0.5230
Pb4 0.7776 0.4318 0.9770
O1 0.0800 0.7977 0.9633
O2 0.1243 0.3804 0.9162
O3 0.1415 0.2485 0.2400
O4 0.1604 0.5259 0.6901
O5 0.1674 0.8326 0.2500
O6 0.2023 0.9200 0.5367
O7 0.2485 0.1415 0.7600
O8 0.3804 0.1243 0.0838
O9 0.4741 0.8396 0.8099
O10 0.5259 0.1604 0.3099
O11 0.6196 0.8757 0.5838
O12 0.7515 0.8585 0.2600
O13 0.7977 0.0800 0.0367
O14 0.8326 0.1674 0.7500
O15 0.8396 0.4741 0.1901
O16 0.8585 0.7515 0.7400
O17 0.8757 0.6196 0.4162
O18 0.9200 0.2023 0.4633

Largest 12 diffraction maxima, low angle first, 2θ = 5–70°:
2θ 15.69, 5.647 Å, intensity 69
2θ 17.17, 5.164 Å, intensity 27
2θ 21.56, 4.122 Å, intensity 36
2θ 25.24, 3.529 Å, intensity 100
2θ 28.58, 3.124 Å, intensity 32
2θ 29.67, 3.011 Å, intensity 56
2θ 30.69, 2.913 Å, intensity 26
2θ 31.69, 2.823 Å, intensity 47
2θ 32.77, 2.733 Å, intensity 84
2θ 33.90, 2.644 Å, intensity 30
2θ 45.85, 1.979 Å, intensity 49
2θ 51.54, 1.773 Å, intensity 25

=====

(2)
Starting from the GGA+U geometry in Alexandria, the X-ray diffraction stick pattern of K4NiTe3O12 was computed for Cu Kα (weighted mean of Kα1 and Kα2).
Lines closer than 0.1° are merged.

Crystal structure
Unit cell a=6.9725 b=6.9725 c=6.9725 alpha=109.47 beta=109.47 gamma=109.47
Element x y z (fractional)
K1 0.0000 0.0000 0.5000
K2 0.0000 0.5000 0.0000
K3 0.5000 0.0000 0.0000
K4 0.5000 0.5000 0.5000
Ni1 0.0000 0.0000 0.0000
Te1 0.0000 0.5000 0.5000
Te2 0.5000 0.0000 0.5000
Te3 0.5000 0.5000 0.0000
O1 0.0000 0.2665 0.2665
O2 0.0000 0.7335 0.7335
O3 0.2500 0.5000 0.7500
O4 0.2500 0.7500 0.5000
O5 0.2665 0.0000 0.2665
O6 0.2665 0.2665 0.0000
O7 0.5000 0.2500 0.7500
O8 0.5000 0.7500 0.2500
O9 0.7335 0.0000 0.7335
O10 0.7335 0.7335 0.0000
O11 0.7500 0.2500 0.5000
O12 0.7500 0.5000 0.2500

Largest 12 diffraction maxima, low angle first, 2θ = 5–70°:
2θ 15.57, 5.693 Å, intensity 8
2θ 22.08, 4.026 Å, intensity 50
2θ 27.13, 3.287 Å, intensity 4
2θ 31.43, 2.847 Å, intensity 100
2θ 35.25, 2.546 Å, intensity 1
2θ 41.99, 2.152 Å, intensity 2
2θ 45.04, 2.013 Å, intensity 38
2θ 47.94, 1.898 Å, intensity 1
2θ 50.71, 1.800 Å, intensity 21
2θ 55.95, 1.643 Å, intensity 37
2θ 58.45, 1.579 Å, intensity 1
2θ 65.59, 1.423 Å, intensity 22